Simulated powder diffraction line list of MgV8O8F8 for λ = 1.5418 Å (Cu Kα), from a structure optimized by DFT (GGA+U).
Intensities are scaled so that the largest is 100.

Cell and atoms:
a = 4.930 Å, b = 5.717 Å, c = 10.481 Å
α = 96.05°, β = 91.05°, γ = 92.84°
Space group P1 (No. 1)
Symmetry-distinct sites (fractional):
Mg  0.000  0.000  0.000
V  0.015  0.129  0.344
V  0.477  0.112  0.833
V  0.490  0.363  0.600
V  0.495  0.883  0.113
V  0.515  0.639  0.373
V  0.970  0.594  0.850
V  0.980  0.433  0.118
V  0.997  0.871  0.600
O  0.172  0.100  0.170
O  0.289  0.087  0.659
O  0.301  0.835  0.931
O  0.302  0.356  0.424
O  0.683  0.398  0.769
O  0.687  0.907  0.281
O  0.689  0.656  0.539
O  0.804  0.694  0.023
F  0.147  0.312  0.928
F  0.181  0.845  0.423
F  0.182  0.592  0.679
F  0.330  0.598  0.190
F  0.670  0.178  0.028
F  0.805  0.417  0.294
F  0.808  0.144  0.522
F  0.828  0.908  0.788

Largest 10 diffraction maxima, low angle first, 2θ = 10–80°:
Position (°2θ)  Rel. int.
25.27  100
26.70  92
33.96  26
34.18  27
34.38  51
50.73  21
51.90  37
52.49  37
55.01  18
59.36  21